Record 1
Computed X-ray powder pattern
Compound: H6AuN2
Radiation: a wavelength of 1.5418 Å
Structure: a cell relaxed with GGA-PBE
No peak broadening, texture or thermal motion is included.

Structural model:
```
H6AuN2
1.0
5.9556 -4.0337 0.0000
5.9556 4.0337 0.0000
-1.7272 0.0000 4.4306
H Au N
12 2 4
Direct
0.0061 0.4299 0.2462 H
0.1109 0.7458 0.8685 H
0.1128 0.2013 0.0424 H
0.2013 0.1128 0.5424 H
0.2542 0.8891 0.6315 H
0.4299 0.0061 0.7462 H
0.5701 0.9939 0.2538 H
0.7458 0.1109 0.3685 H
0.7987 0.8872 0.4576 H
0.8872 0.7987 0.9576 H
0.8891 0.2542 0.1315 H
0.9939 0.5701 0.7538 H
0.4354 0.5646 0.2500 Au
0.5646 0.4354 0.7500 Au
0.0301 0.2762 0.2107 N
0.2762 0.0301 0.7107 N
0.7238 0.9699 0.2893 N
0.9699 0.7238 0.7893 N
```

Most intense lines, 5° ≤ 2θ ≤ 70°, low angle first:
| 2theta | intensity |
| --- | --- |
| 13.57 | 100.0 |
| 15.97 | 44.0 |
| 22.04 | 11.4 |
| 26.51 | 34.6 |
| 27.33 | 14.0 |
| 29.96 | 18.5 |
| 38.49 | 15.4 |
| 40.09 | 9.3 |
| 40.72 | 17.1 |
| 42.21 | 17.8 |


Record 2
Computed X-ray powder pattern
Compound: Cs4BiTe4
Radiation: a wavelength of 1.5418 Å
Structure: a cell relaxed with GGA-PBE
No peak broadening, texture or thermal motion is included.

Structural model:
```
Cs4BiTe4
1.0
-4.5135 4.5135 7.6155
4.5135 -4.5135 7.6155
4.5135 4.5135 -7.6155
Cs Bi Te
4 1 4
Direct
0.0000 0.5000 0.5000 Cs
0.1965 0.1965 0.0000 Cs
0.5000 0.0000 0.5000 Cs
0.8035 0.8035 0.0000 Cs
0.5000 0.5000 0.0000 Bi
0.1964 0.1964 0.6244 Te
0.4280 0.8036 0.0000 Te
0.5720 0.5720 0.3756 Te
0.8036 0.4280 0.0000 Te
```

Most intense lines, 5° ≤ 2θ ≤ 70°, low angle first:
| 2theta | intensity |
| --- | --- |
| 11.39 | 75.4 |
| 11.62 | 27.3 |
| 13.87 | 28.0 |
| 18.13 | 100.0 |
| 20.07 | 32.0 |
| 27.96 | 68.3 |
| 28.24 | 90.2 |
| 30.72 | 84.4 |
| 34.65 | 38.7 |
| 40.78 | 25.2 |


Record 3
Computed X-ray powder pattern
Compound: Ba12Br3Cl2F19
Radiation: a wavelength of 1.5418 Å
Structure: a cell relaxed with GGA-PBE
No peak broadening, texture or thermal motion is included.

Structural model:
```
Ba12Br3Cl2F19
1.0
4.3708 0.0000 0.0000
0.0000 12.4328 7.1674
0.0000 -12.4328 7.1674
Ba Br Cl F
12 3 2 19
Direct
0.0000 0.0000 0.0000 Ba
0.0000 0.2005 0.8239 Ba
0.0000 0.4434 0.4434 Ba
0.0000 0.6486 0.8313 Ba
0.0000 0.8239 0.2005 Ba
0.0000 0.8313 0.6486 Ba
0.5000 0.1285 0.2945 Ba
0.5000 0.2945 0.1285 Ba
0.5000 0.3527 0.6583 Ba
0.5000 0.5167 0.9918 Ba
0.5000 0.6583 0.3527 Ba
0.5000 0.9918 0.5167 Ba
0.0000 0.1588 0.4899 Br
0.0000 0.4899 0.1588 Br
0.5000 0.6356 0.6356 Br
0.5000 0.0115 0.8232 Cl
0.5000 0.8232 0.0115 Cl
0.0000 0.0094 0.6317 F
0.0000 0.0147 0.1969 F
0.0000 0.1969 0.0147 F
0.0000 0.2595 0.2595 F
0.0000 0.3872 0.8259 F
0.0000 0.4513 0.6428 F
0.0000 0.6317 0.0094 F
0.0000 0.6428 0.4513 F
0.0000 0.8220 0.8220 F
0.0000 0.8259 0.3872 F
0.5000 0.1000 0.1000 F
0.5000 0.1892 0.6992 F
0.5000 0.3119 0.9488 F
0.5000 0.3346 0.4589 F
0.5000 0.4589 0.3346 F
0.5000 0.5467 0.8264 F
0.5000 0.6992 0.1892 F
0.5000 0.8264 0.5467 F
0.5000 0.9488 0.3119 F
```

Most intense lines, 5° ≤ 2θ ≤ 70°, low angle first:
| 2theta | intensity |
| --- | --- |
| 24.83 | 77.6 |
| 25.86 | 29.9 |
| 27.89 | 100.0 |
| 29.72 | 33.0 |
| 33.07 | 40.6 |
| 41.31 | 28.9 |
| 41.82 | 29.2 |
| 43.72 | 35.2 |
| 48.80 | 24.7 |
| 49.24 | 40.1 |


Record 4
Computed X-ray powder pattern
Compound: NiGe3Ir2
Radiation: a wavelength of 1.5418 Å
Structure: a cell relaxed with GGA-PBE
No peak broadening, texture or thermal motion is included.

Structural model:
```
NiGe3Ir2
1.0
3.2349 1.8677 5.3091
-3.2349 1.8677 5.3091
0.0000 -3.7353 5.3091
Ni Ge Ir
2 6 4
Direct
0.0000 0.0000 0.0000 Ni
0.5000 0.5000 0.5000 Ni
0.0873 0.7500 0.4127 Ge
0.2500 0.5873 0.9127 Ge
0.4127 0.0873 0.7500 Ge
0.5873 0.9127 0.2500 Ge
0.7500 0.4127 0.0873 Ge
0.9127 0.2500 0.5873 Ge
0.1636 0.1636 0.1636 Ir
0.3364 0.3364 0.3364 Ir
0.6636 0.6636 0.6636 Ir
0.8364 0.8364 0.8364 Ir
```

Most intense lines, 5° ≤ 2θ ≤ 70°, low angle first:
| 2theta | intensity |
| --- | --- |
| 19.37 | 15.0 |
| 27.56 | 75.8 |
| 32.41 | 29.5 |
| 33.77 | 5.2 |
| 44.13 | 100.0 |
| 48.75 | 60.0 |
| 56.93 | 8.5 |
| 59.54 | 5.0 |
| 60.64 | 7.6 |
| 67.86 | 28.1 |


Record 5
Computed X-ray powder pattern
Compound: Pu4Ga
Radiation: a wavelength of 1.5418 Å
Structure: a cell relaxed with GGA-PBE
No peak broadening, texture or thermal motion is included.

Structural model:
```
Pu4Ga
1.0
5.5132 0.0000 0.0000
0.0000 5.5132 0.0000
0.0000 0.0000 5.5132
Pu Ga
4 1
Direct
0.0000 0.0000 0.0000 Pu
0.0000 0.5000 0.5000 Pu
0.5000 0.0000 0.5000 Pu
0.5000 0.5000 0.0000 Pu
0.5000 0.5000 0.5000 Ga
```

Most intense lines, 5° ≤ 2θ ≤ 70°, low angle first:
| 2theta | intensity |
| --- | --- |
| 16.08 | 2.1 |
| 22.81 | 1.9 |
| 28.03 | 100.0 |
| 32.48 | 71.0 |
| 36.44 | 1.1 |
| 40.06 | 0.9 |
| 46.59 | 53.4 |
| 55.26 | 48.0 |
| 57.95 | 18.9 |
| 68.02 | 8.8 |


Record 6
Computed X-ray powder pattern
Compound: Sc3Pb2
Radiation: a wavelength of 1.5418 Å
Structure: a cell relaxed with GGA-PBE
No peak broadening, texture or thermal motion is included.

Structural model:
```
Sc3Pb2
1.0
-2.9076 2.9076 7.4003
2.9076 -2.9076 7.4003
2.9076 2.9076 -7.4003
Sc Pb
6 4
Direct
0.0000 0.0000 0.0000 Sc
0.0000 0.0000 0.5000 Sc
0.0000 0.5000 0.0000 Sc
0.3750 0.6250 0.7500 Sc
0.5000 0.0000 0.5000 Sc
0.6250 0.3750 0.2500 Sc
0.1759 0.4259 0.7500 Pb
0.4259 0.1759 0.2500 Pb
0.5741 0.8241 0.7500 Pb
0.8241 0.5741 0.2500 Pb
```

Most intense lines, 5° ≤ 2θ ≤ 70°, low angle first:
| 2theta | intensity |
| --- | --- |
| 16.38 | 19.2 |
| 23.65 | 34.7 |
| 24.77 | 100.0 |
| 30.75 | 76.6 |
| 33.98 | 76.7 |
| 35.03 | 29.6 |
| 39.16 | 49.1 |
| 44.04 | 19.0 |
| 46.48 | 37.3 |
| 51.19 | 30.3 |


Record 7
Computed X-ray powder pattern
Compound: PrSc2Al6
Radiation: a wavelength of 1.5418 Å
Structure: a cell relaxed with GGA-PBE
No peak broadening, texture or thermal motion is included.

Structural model:
```
PrSc2Al6
1.0
-2.1525 3.5513 6.4865
2.1525 -3.5513 6.4865
2.1525 3.5513 -6.4865
Pr Sc Al
1 2 6
Direct
0.0000 0.0000 0.0000 Pr
0.3796 0.8796 0.5000 Sc
0.6204 0.1204 0.5000 Sc
0.0088 0.3099 0.6989 Al
0.3216 0.5000 0.8216 Al
0.3890 0.6901 0.6989 Al
0.6110 0.3099 0.3011 Al
0.6784 0.5000 0.1784 Al
0.9912 0.6901 0.3011 Al
```

Most intense lines, 5° ≤ 2θ ≤ 70°, low angle first:
| 2theta | intensity |
| --- | --- |
| 13.65 | 41.8 |
| 21.75 | 24.8 |
| 24.10 | 35.0 |
| 27.86 | 74.8 |
| 28.66 | 31.6 |
| 33.43 | 100.0 |
| 36.92 | 90.0 |
| 41.97 | 27.2 |
| 43.59 | 37.5 |
| 62.11 | 23.7 |